Calculated X-ray powder pattern
Compound: RbFeBrF2
Radiation: a wavelength of 1.5418 Å
Structure: a crystal structure in Alexandria, relaxed with GGA+U
Neutral-atom scattering factors, no anomalous dispersion.

Top 8 peaks for 2θ = 15–90°, by angle:
d_spacing  2θ/deg  I_rel  hkl
4.082  21.77  28  0 0 2
3.981  22.33  65  1 0 -2
3.791  23.47  100  1 1 0
3.130  28.52  27  2 0 1
2.994  29.84  28  0 1 2
2.551  35.19  67  2 1 -2
2.202  40.98  37  0 2 0
1.993  45.50  27  2 0 3

Structural model:
```
10
Lattice="7.646 0.000 0.000 0.000 4.405 0.000 -1.905 0.000 8.164" Properties=species:S:1:pos:R:3 pbc="T T T"
Rb 1.176 1.101 3.045
Rb 4.566 3.304 5.119
Fe 1.710 1.101 6.957
Fe 4.032 3.304 1.206
Br -0.642 1.101 6.152
Br 6.384 3.304 2.012
F 2.844 3.304 2.724
F 2.027 3.304 7.354
F 3.715 1.101 0.810
F 2.898 1.101 5.440
```